Record 1
This entry pairs a crystal structure of Hf2Ti2I7 with its calculated PXRD pattern. Radiation: Cu Kα (weighted mean of Kα1 and Kα2). Structure: the GGA-PBE geometry in Alexandria.
Lines closer than 0.1° are merged.

Structural model:
```
data_Hf2Ti2I7
_cell_length_a 7.071
_cell_length_b 13.172
_cell_length_c 20.396
_cell_angle_alpha 90.00
_cell_angle_beta 91.94
_cell_angle_gamma 90.00
_space_group_name_H-M_alt 'C 1 2/c 1'
_space_group_IT_number 15
loop_
_space_group_symop_operation_xyz
'x,y,z'
'-x,-y,-z'
'-x,y,-z+1/2'
'x,-y,z+1/2'
'x+1/2,y+1/2,z'
'-x+1/2,-y+1/2,-z'
'-x+1/2,y+1/2,-z+1/2'
'x+1/2,-y+1/2,z+1/2'
loop_
_atom_site_label
_atom_site_type_symbol
_atom_site_fract_x
_atom_site_fract_y
_atom_site_fract_z
Hf1 Hf 0.185 0.057 0.001
Ti1 Ti 0.042 0.052 0.387
I1 I 0.000 0.045 0.250
I2 I 0.073 0.428 0.584
I3 I 0.108 0.241 0.082
I4 I 0.130 0.123 0.583
```

Most intense lines, 2θ = 10–80°, by angle:
hkl, 2θ (°), d (Å), I_rel
0 2 0, 13.44, 6.586, 31
1 1 0, 14.21, 6.232, 36
1 3 -3, 27.04, 3.297, 100
2 0 4, 31.29, 2.859, 26
1 3 -5, 32.24, 2.777, 43
1 5 1, 36.73, 2.447, 20
2 4 1, 37.71, 2.385, 17
1 3 7, 39.59, 2.276, 33
3 3 -1, 43.70, 2.071, 20
1 3 9, 47.33, 1.921, 17

---

Record 2
This entry pairs a crystal structure of Ti4CoGe3 with its calculated PXRD pattern. Radiation: Cu Kα (weighted mean of Kα1 and Kα2). Structure: the GGA-PBE geometry in Alexandria.
Lines closer than 0.1° are merged.

Structural model:
```
data_Ti4CoGe3
_cell_length_a 9.808
_cell_length_b 9.808
_cell_length_c 5.017
_cell_angle_alpha 90.00
_cell_angle_beta 90.00
_cell_angle_gamma 90.00
_space_group_name_H-M_alt 'I 4/m c m'
_space_group_IT_number 140
_space_group_name_Hall '-I 4 2c'
loop_
_atom_site_label
_atom_site_type_symbol
_atom_site_fract_x
_atom_site_fract_y
_atom_site_fract_z
Ti1 Ti 0.083 0.222 0.000
Co1 Co 0.000 0.500 0.250
Ge1 Ge 0.000 0.000 0.250
Ge2 Ge 0.151 0.349 0.500
```

Most intense lines, 2θ = 10–80°, by angle:
hkl, 2θ (°), d (Å), I_rel
2 1 1, 27.00, 3.302, 25
0 0 2, 35.79, 2.509, 24
3 2 1, 37.61, 2.391, 83
2 0 2, 40.39, 2.233, 84
4 2 0, 41.16, 2.193, 100
4 1 1, 42.04, 2.149, 99
2 2 2, 44.58, 2.033, 54
4 0 2, 52.16, 1.753, 41
5 2 1, 53.53, 1.712, 44
4 1 3, 68.58, 1.368, 27

---

Record 3
This entry pairs a crystal structure of PrNd2SmTl with its calculated PXRD pattern. Radiation: Cu Kα (weighted mean of Kα1 and Kα2). Structure: the GGA-PBE geometry in Alexandria.
Lines closer than 0.1° are merged.

Structural model:
```
data_PrNd2SmTl
_cell_length_a 3.910
_cell_length_b 5.390
_cell_length_c 8.262
_cell_angle_alpha 90.00
_cell_angle_beta 90.00
_cell_angle_gamma 90.00
_space_group_name_H-M_alt 'P m m m'
_space_group_IT_number 47
loop_
_space_group_symop_operation_xyz
'x,y,z'
'-x,-y,-z'
'-x,-y,z'
'x,y,-z'
'x,-y,-z'
'-x,y,z'
'-x,y,-z'
'x,-y,z'
loop_
_atom_site_label
_atom_site_type_symbol
_atom_site_fract_x
_atom_site_fract_y
_atom_site_fract_z
Pr1 Pr 0.000 0.000 0.000
Nd1 Nd 0.000 0.500 0.310
Sm1 Sm 0.500 0.000 0.500
Tl1 Tl 0.500 0.500 0.000
```

Most intense lines, 2θ = 10–80°, by angle:
hkl, 2θ (°), d (Å), I_rel
0 1 2, 27.20, 3.279, 17
1 1 1, 30.24, 2.955, 100
1 0 2, 31.51, 2.840, 22
0 2 0, 33.24, 2.695, 33
1 1 2, 35.74, 2.512, 29
0 1 3, 36.64, 2.452, 18
2 0 0, 46.45, 1.955, 28
1 3 1, 57.54, 1.602, 16
2 2 0, 58.31, 1.582, 13
1 1 5, 63.51, 1.465, 20